Record 1
Starting from a DFT-relaxed cell (GGA-PBE, Alexandria), the X-ray diffraction stick pattern of TlHg4As was simulated for Cu Kα (λ = 1.5418 Å).
Peak positions follow from Bragg's law for the DFT cell and can differ from measured ones.

Peak list (8 most intense, 10 to 80 degrees two-theta, by angle)
2θ (°)	d (Å)	I (rel.)
17.79	4.985	21
29.25	3.053	16
34.45	2.604	100
36.03	2.493	54
55.28	1.662	35
60.67	1.526	32
71.67	1.317	12
72.63	1.302	22

Atomic structure:
Unit cell a=6.1059 b=6.1059 c=6.1059 alpha=60.00 beta=60.00 gamma=60.00
Sites, in units of the cell vectors:
Tl1 0.0000 0.0000 0.0000
Hg1 0.3755 0.3755 0.3755
Hg2 0.3755 0.3755 0.8736
Hg3 0.3755 0.8736 0.3755
Hg4 0.8736 0.3755 0.3755
As1 0.7500 0.7500 0.7500

***

Record 2
Starting from a DFT-relaxed cell (GGA-PBE, Alexandria), the X-ray diffraction stick pattern of Tl7Hg3As2 was simulated for Cu Kα (λ = 1.5418 Å).
Peak positions follow from Bragg's law for the DFT cell and can differ from measured ones.

Peak list (8 most intense, 10 to 80 degrees two-theta, by angle)
2θ (°)	d (Å)	I (rel.)
26.95	3.308	47
28.09	3.176	51
29.09	3.069	46
29.26	3.052	47
30.82	2.901	100
30.98	2.886	100
32.33	2.769	31
40.38	2.234	73

Atomic structure:
Unit cell a=4.4673 b=5.1434 c=16.1200 alpha=95.80 beta=97.92 gamma=90.40
Sites, in units of the cell vectors:
Tl1 0.0000 0.0000 0.0000
Tl2 0.0831 0.5549 0.1671
Tl3 0.2776 0.7073 0.5589
Tl4 0.4102 0.9333 0.8157
Tl5 0.5898 0.0667 0.1843
Tl6 0.7224 0.2927 0.4411
Tl7 0.9169 0.4451 0.8329
Hg1 0.1851 0.9075 0.3679
Hg2 0.5000 0.5000 0.0000
Hg3 0.8149 0.0925 0.6321
As1 0.3520 0.3969 0.7054
As2 0.6480 0.6031 0.2946

***

Record 3
Starting from a DFT-relaxed cell (GGA-PBE, Alexandria), the X-ray diffraction stick pattern of Tl12Hg5As3 was simulated for Cu Kα (λ = 1.5418 Å).
Peak positions follow from Bragg's law for the DFT cell and can differ from measured ones.

Peak list (8 most intense, 10 to 80 degrees two-theta, by angle)
2θ (°)	d (Å)	I (rel.)
29.02	3.077	100
31.21	2.866	11
32.29	2.772	13
34.28	2.616	39
35.27	2.544	13
39.73	2.269	19
40.66	2.219	15
49.98	1.825	25

Atomic structure:
Unit cell a=12.8033 b=12.8033 c=4.5374 alpha=90.00 beta=90.00 gamma=120.00
Sites, in units of the cell vectors:
Tl1 0.0000 0.1653 0.0000
Tl2 0.0000 0.4647 0.0000
Tl3 0.1653 0.0000 0.0000
Tl4 0.1909 0.7337 0.5000
Tl5 0.2663 0.4572 0.5000
Tl6 0.4572 0.2663 0.5000
Tl7 0.4647 0.0000 0.0000
Tl8 0.5353 0.5353 0.0000
Tl9 0.5428 0.8091 0.5000
Tl10 0.7337 0.1909 0.5000
Tl11 0.8091 0.5428 0.5000
Tl12 0.8347 0.8347 0.0000
Hg1 0.0000 0.7133 0.0000
Hg2 0.2867 0.2867 0.0000
Hg3 0.3333 0.6667 0.0000
Hg4 0.6667 0.3333 0.0000
Hg5 0.7133 0.0000 0.0000
As1 0.0000 0.3187 0.5000
As2 0.3187 0.0000 0.5000
As3 0.6813 0.6813 0.5000

***

Record 4
Starting from a DFT-relaxed cell (GGA-PBE, Alexandria), the X-ray diffraction stick pattern of Tl2Hg3As2 was simulated for Cu Kα (λ = 1.5418 Å).
Peak positions follow from Bragg's law for the DFT cell and can differ from measured ones.

Peak list (8 most intense, 10 to 80 degrees two-theta, by angle)
2θ (°)	d (Å)	I (rel.)
29.96	2.982	74
30.67	2.915	100
36.73	2.447	64
37.31	2.410	30
53.37	1.717	35
58.62	1.575	23
61.63	1.505	16
63.24	1.470	26

Atomic structure:
Unit cell a=11.5376 b=11.5376 c=4.8204 alpha=90.00 beta=90.00 gamma=161.50
Sites, in units of the cell vectors:
Tl1 0.1611 0.8389 0.0000
Tl2 0.8389 0.1611 0.0000
Hg1 0.0000 0.0000 0.0000
Hg2 0.4313 0.5687 0.5000
Hg3 0.5687 0.4313 0.5000
As1 0.2873 0.7127 0.5000
As2 0.7127 0.2873 0.5000

***

Record 5
Starting from a DFT-relaxed cell (GGA-PBE, Alexandria), the X-ray diffraction stick pattern of Tl16Hg12As was simulated for Cu Kα (λ = 1.5418 Å).
Peak positions follow from Bragg's law for the DFT cell and can differ from measured ones.

Peak list (8 most intense, 10 to 80 degrees two-theta, by angle)
2θ (°)	d (Å)	I (rel.)
30.88	2.895	42
31.30	2.858	37
31.48	2.842	74
32.07	2.791	100
32.22	2.778	31
32.58	2.748	86
35.39	2.536	31
35.88	2.503	39

Atomic structure:
Unit cell a=10.2084 b=10.2084 c=10.1239 alpha=108.64 beta=108.64 gamma=107.03
Sites, in units of the cell vectors:
Tl1 0.0000 0.0000 0.0000
Tl2 0.0037 0.7020 0.4445
Tl3 0.0188 0.3843 0.6838
Tl4 0.0616 0.0616 0.6788
Tl5 0.3103 0.6093 0.6280
Tl6 0.3198 0.7170 0.3378
Tl7 0.3216 0.3216 0.3539
Tl8 0.3843 0.0188 0.6838
Tl9 0.4026 0.6302 0.0000
Tl10 0.5993 0.5993 0.3342
Tl11 0.6093 0.3103 0.6280
Tl12 0.6251 0.9925 0.0130
Tl13 0.6302 0.4026 0.0000
Tl14 0.7020 0.0037 0.4445
Tl15 0.7170 0.3198 0.3378
Tl16 0.9925 0.6251 0.0130
Hg1 0.1627 0.9724 0.3390
Hg2 0.1735 0.3645 0.0234
Hg3 0.2014 0.8042 0.8572
Hg4 0.3645 0.1735 0.0234
Hg5 0.4034 0.9924 0.2200
Hg6 0.6481 0.8480 0.6652
Hg7 0.6536 0.6536 0.8517
Hg8 0.8002 0.8002 0.2134
Hg9 0.8042 0.2014 0.8572
Hg10 0.8480 0.6481 0.6652
Hg11 0.9724 0.1627 0.3390
Hg12 0.9924 0.4034 0.2200
As1 0.3143 0.3143 0.6690

***

Record 6
Starting from a DFT-relaxed cell (GGA-PBE, Alexandria), the X-ray diffraction stick pattern of TlHg2As was simulated for Cu Kα (λ = 1.5418 Å).
Peak positions follow from Bragg's law for the DFT cell and can differ from measured ones.

Peak list (8 most intense, 10 to 80 degrees two-theta, by angle)
2θ (°)	d (Å)	I (rel.)
30.14	2.965	57
30.28	2.952	62
32.84	2.727	100
41.97	2.153	24
44.54	2.034	60
45.78	1.982	37
55.43	1.658	23
68.81	1.364	23

Atomic structure:
Unit cell a=6.6653 b=6.6653 c=5.9126 alpha=113.20 beta=113.20 gamma=26.68
Sites, in units of the cell vectors:
Tl1 0.0000 0.0000 0.0000
Hg1 0.2649 0.2649 0.2623
Hg2 0.7351 0.7351 0.7377
As1 0.5000 0.5000 0.5000

***

Record 7
Starting from a DFT-relaxed cell (GGA-PBE, Alexandria), the X-ray diffraction stick pattern of Tl17Hg11As was simulated for Cu Kα (λ = 1.5418 Å).
Peak positions follow from Bragg's law for the DFT cell and can differ from measured ones.

Peak list (8 most intense, 10 to 80 degrees two-theta, by angle)
2θ (°)	d (Å)	I (rel.)
30.60	2.922	100
31.57	2.834	47
32.14	2.785	49
32.24	2.776	41
32.52	2.754	66
32.91	2.721	32
33.28	2.692	76
35.95	2.498	59

Atomic structure:
Unit cell a=10.0226 b=10.0226 c=10.1661 alpha=108.00 beta=108.00 gamma=104.99
Sites, in units of the cell vectors:
Tl1 0.0000 0.0000 0.0000
Tl2 0.0024 0.0024 0.6131
Tl3 0.0121 0.4006 0.6170
Tl4 0.0539 0.3033 0.9237
Tl5 0.1059 0.3588 0.2962
Tl6 0.1060 0.7017 0.9737
Tl7 0.2996 0.2996 0.6210
Tl8 0.3033 0.0539 0.9237
Tl9 0.3423 0.6940 0.3079
Tl10 0.3578 0.7075 0.7136
Tl11 0.3588 0.1059 0.2962
Tl12 0.4006 0.0121 0.6170
Tl13 0.6897 0.6897 0.2906
Tl14 0.6940 0.3423 0.3079
Tl15 0.7002 0.7002 0.9362
Tl16 0.7017 0.1060 0.9737
Tl17 0.7075 0.3578 0.7136
Hg1 0.0532 0.6750 0.4708
Hg2 0.0668 0.8754 0.2922
Hg3 0.3529 0.5459 0.9556
Hg4 0.5067 0.5067 0.5184
Hg5 0.5097 0.8996 0.1060
Hg6 0.5459 0.3529 0.9556
Hg7 0.6741 0.8689 0.6640
Hg8 0.6750 0.0532 0.4708
Hg9 0.8689 0.6741 0.6640
Hg10 0.8754 0.0668 0.2922
Hg11 0.8996 0.5097 0.1060
As1 0.3799 0.3799 0.1848

***

Record 8
Starting from a DFT-relaxed cell (GGA-PBE, Alexandria), the X-ray diffraction stick pattern of Tl3Hg2As was simulated for Cu Kα (λ = 1.5418 Å).
Peak positions follow from Bragg's law for the DFT cell and can differ from measured ones.

Peak list (8 most intense, 10 to 80 degrees two-theta, by angle)
2θ (°)	d (Å)	I (rel.)
28.93	3.087	66
29.16	3.062	100
30.41	2.940	18
32.50	2.755	20
36.49	2.462	23
37.79	2.380	16
38.98	2.311	39
43.98	2.059	37

Atomic structure:
Unit cell a=7.3112 b=7.3112 c=7.2760 alpha=97.75 beta=97.75 gamma=106.71
Sites, in units of the cell vectors:
Tl1 0.0000 0.5000 0.0000
Tl2 0.1119 0.2733 0.4668
Tl3 0.2733 0.1119 0.9668
Tl4 0.5000 0.0000 0.5000
Tl5 0.7267 0.8881 0.0332
Tl6 0.8881 0.7267 0.5332
Hg1 0.2965 0.7035 0.7500
Hg2 0.4269 0.5731 0.2500
Hg3 0.5731 0.4269 0.7500
Hg4 0.7035 0.2965 0.2500
As1 0.1062 0.8938 0.2500
As2 0.8938 0.1062 0.7500

***

Record 9
Starting from a DFT-relaxed cell (GGA-PBE, Alexandria), the X-ray diffraction stick pattern of TlHg2As was simulated for Cu Kα (λ = 1.5418 Å).
Peak positions follow from Bragg's law for the DFT cell and can differ from measured ones.

Peak list (8 most intense, 10 to 80 degrees two-theta, by angle)
2θ (°)	d (Å)	I (rel.)
31.70	2.823	24
33.02	2.713	100
39.69	2.271	16
42.81	2.112	13
51.66	1.769	12
57.30	1.608	14
67.82	1.382	13
72.20	1.308	11

Atomic structure:
Unit cell a=3.1015 b=3.1015 c=11.2915 alpha=90.00 beta=90.00 gamma=94.14
Sites, in units of the cell vectors:
Tl1 0.0000 0.0000 0.0000
Hg1 0.0000 0.0000 0.4554
Hg2 0.5000 0.5000 0.7163
As1 0.5000 0.5000 0.2154

***

Record 10
Starting from a DFT-relaxed cell (GGA-PBE, Alexandria), the X-ray diffraction stick pattern of Tl6Hg2As was simulated for Cu Kα (λ = 1.5418 Å).
Peak positions follow from Bragg's law for the DFT cell and can differ from measured ones.

Peak list (8 most intense, 10 to 80 degrees two-theta, by angle)
2θ (°)	d (Å)	I (rel.)
29.67	3.011	100
31.71	2.822	48
32.06	2.792	52
36.09	2.489	41
38.41	2.343	25
54.40	1.686	22
57.36	1.606	22
58.15	1.586	27

Atomic structure:
Unit cell a=8.6206 b=8.6206 c=4.2068 alpha=90.00 beta=90.00 gamma=120.00
Sites, in units of the cell vectors:
Tl1 0.0000 0.2544 0.0000
Tl2 0.0000 0.6105 0.5000
Tl3 0.2544 0.0000 0.0000
Tl4 0.3896 0.3896 0.5000
Tl5 0.6105 0.0000 0.5000
Tl6 0.7456 0.7456 0.0000
Hg1 0.3333 0.6667 0.0000
Hg2 0.6667 0.3333 0.0000
As1 0.0000 0.0000 0.5000

***

Record 11
Starting from a DFT-relaxed cell (GGA-PBE, Alexandria), the X-ray diffraction stick pattern of ZrHg4As was simulated for Cu Kα (λ = 1.5418 Å).
Peak positions follow from Bragg's law for the DFT cell and can differ from measured ones.

Peak list (8 most intense, 10 to 80 degrees two-theta, by angle)
2θ (°)	d (Å)	I (rel.)
18.67	4.754	47
36.18	2.483	100
37.85	2.377	70
43.99	2.058	22
48.17	1.889	13
58.22	1.585	34
63.96	1.456	34
76.79	1.241	28

Atomic structure:
Unit cell a=5.8222 b=5.8222 c=5.8222 alpha=60.00 beta=60.00 gamma=60.00
Sites, in units of the cell vectors:
Zr1 0.0000 0.0000 0.0000
Hg1 0.3750 0.3750 0.3750
Hg2 0.3750 0.3750 0.8750
Hg3 0.3750 0.8750 0.3750
Hg4 0.8750 0.3750 0.3750
As1 0.7500 0.7500 0.7500

***

Record 12
Starting from a DFT-relaxed cell (GGA-PBE, Alexandria), the X-ray diffraction stick pattern of Ho2AsIr was simulated for Cu Kα (λ = 1.5418 Å).
Peak positions follow from Bragg's law for the DFT cell and can differ from measured ones.

Peak list (8 most intense, 10 to 80 degrees two-theta, by angle)
2θ (°)	d (Å)	I (rel.)
13.34	6.639	11
25.73	3.462	5
31.14	2.872	100
40.80	2.212	3
44.62	2.031	75
55.42	1.658	26
64.94	1.436	12
73.78	1.284	34

Atomic structure:
Unit cell a=7.0404 b=7.0404 c=7.0404 alpha=33.51 beta=33.51 gamma=33.51
Sites, in units of the cell vectors:
Ho1 0.2474 0.2474 0.2474
Ho2 0.7526 0.7526 0.7526
As1 0.0000 0.0000 0.0000
Ir1 0.5000 0.5000 0.5000